Entry 1:
# HgSe
Computed powder XRD pattern, Cu Ka. Input: DFT lattice parameters and positions (PBE).

Structure:
```
data_HgSe
_chemical_formula_sum 'Hg3 Se3'
_cell_length_a 4.3382
_cell_length_b 4.3382
_cell_length_c 9.7763
_cell_angle_alpha 90.00
_cell_angle_beta 90.00
_cell_angle_gamma 120.00
_space_group_name_H-M_alt 'P 32 2 1'
_space_group_IT_number 154
_space_group_name_Hall 'P 32 2"'
loop_
_atom_site_label
_atom_site_fract_x
_atom_site_fract_y
_atom_site_fract_z
Hg1 0.0000 0.6844 0.3333
Se1 0.0000 0.5233 0.8333
```

Largest 10 diffraction maxima, low angle first, 10° ≤ 2θ ≤ 80°:
2θ (°)  I (rel.)
25.40  50
30.00  100
41.64  31
44.21  35
49.40  13
50.55  21
52.16  14
56.51  11
66.54  16
72.57  14

***

Entry 2:
# SiHg4Se6
Computed powder XRD pattern, Cu Ka. Input: DFT lattice parameters and positions (PBE).

Structure:
```
data_SiHg4Se6
_chemical_formula_sum 'Si4 Hg16 Se24'
_cell_length_a 13.169
_cell_length_b 7.596
_cell_length_c 13.117
_cell_angle_alpha 90.00
_cell_angle_beta 109.92
_cell_angle_gamma 90.00
_space_group_name_H-M_alt 'C 1 c 1'
_space_group_IT_number 9
_space_group_name_Hall 'C -2yc'
loop_
_atom_site_label
_atom_site_fract_x
_atom_site_fract_y
_atom_site_fract_z
Si1 0.000 0.234 0.000
Hg1 0.066 0.301 0.588
Hg2 0.251 0.386 0.940
Hg3 0.266 0.094 0.256
Hg4 0.440 0.446 0.744
Se1 0.044 0.478 0.918
Se2 0.072 0.278 0.185
Se3 0.075 0.008 0.452
Se4 0.258 0.258 0.750
Se5 0.316 0.254 0.454
Se6 0.379 0.257 0.131
```

Largest 10 diffraction maxima, low angle first, 10° ≤ 2θ ≤ 80°:
2θ (°)  I (rel.)
23.44  32
23.58  25
24.50  100
27.54  59
28.80  50
29.78  36
41.16  29
43.69  24
43.78  54
43.89  31

***

Entry 3:
# SrSnHgSe4
Computed powder XRD pattern, Cu Ka. Input: DFT lattice parameters and positions (PBE).

Structure:
```
data_SrSnHgSe4
_chemical_formula_sum 'Sr32 Sn32 Hg32 Se128'
_cell_length_a 22.196
_cell_length_b 22.234
_cell_length_c 13.649
_cell_angle_alpha 90.00
_cell_angle_beta 90.00
_cell_angle_gamma 90.00
_space_group_name_H-M_alt 'F d d 2'
_space_group_IT_number 43
_space_group_name_Hall 'F 2 -2d'
loop_
_atom_site_label
_atom_site_fract_x
_atom_site_fract_y
_atom_site_fract_z
Sr1 0.000 0.000 0.000
Sr2 0.000 0.000 0.494
Sr3 0.002 0.248 0.997
Sn1 0.068 0.125 0.208
Sn2 0.112 0.124 0.751
Hg1 0.074 0.375 0.277
Hg2 0.111 0.375 0.750
Se1 0.032 0.376 0.608
Se2 0.033 0.123 0.886
Se3 0.033 0.127 0.387
Se4 0.036 0.374 0.096
Se5 0.120 0.034 0.633
Se6 0.120 0.216 0.635
Se7 0.122 0.034 0.135
Se8 0.122 0.216 0.132
```

Largest 10 diffraction maxima, low angle first, 10° ≤ 2θ ≤ 80°:
2θ (°)  I (rel.)
15.95  81
22.13  44
27.42  42
28.58  56
31.84  29
32.22  49
34.83  100
42.80  27
47.63  30
49.70  30

***

Entry 4:
# Tl2HgSe2
Computed powder XRD pattern, Cu Ka. Input: DFT lattice parameters and positions (PBE).

Structure:
```
data_Tl2HgSe2
_chemical_formula_sum 'Tl4 Hg2 Se4'
_cell_length_a 6.381
_cell_length_b 11.496
_cell_length_c 3.933
_cell_angle_alpha 90.00
_cell_angle_beta 90.00
_cell_angle_gamma 90.00
_space_group_name_H-M_alt 'P b a m'
_space_group_IT_number 55
_space_group_name_Hall '-P 2 2ab'
loop_
_atom_site_label
_atom_site_fract_x
_atom_site_fract_y
_atom_site_fract_z
Tl1 0.084 0.159 0.000
Hg1 0.000 0.500 0.000
Se1 0.204 0.371 0.500
```

Largest 10 diffraction maxima, low angle first, 10° ≤ 2θ ≤ 80°:
2θ (°)  I (rel.)
22.61  45
27.15  78
29.05  32
30.91  49
35.61  100
36.26  40
45.47  16
46.17  21
53.18  15
54.39  30

***

Entry 5:
# Tl2Hg2Se3
Computed powder XRD pattern, Cu Ka. Input: DFT lattice parameters and positions (PBE).

Structure:
```
data_Tl2Hg2Se3
_chemical_formula_sum 'Tl6 Hg6 Se9'
_cell_length_a 6.1386
_cell_length_b 6.1386
_cell_length_c 17.1133
_cell_angle_alpha 90.00
_cell_angle_beta 90.00
_cell_angle_gamma 120.00
_space_group_name_H-M_alt 'R -3 m'
_space_group_IT_number 166
_space_group_name_Hall '-R 3 2"'
loop_
_atom_site_label
_atom_site_fract_x
_atom_site_fract_y
_atom_site_fract_z
Tl1 0.0000 0.0000 0.0000
Tl2 0.0000 0.0000 0.5000
Hg1 0.0000 0.0000 0.1773
Se1 0.0000 0.5000 0.0000
```

Largest 10 diffraction maxima, low angle first, 10° ≤ 2θ ≤ 80°:
2θ (°)  I (rel.)
29.09  100
31.36  54
33.14  62
34.14  22
39.93  24
43.30  64
51.58  21
60.31  27
61.62  23
69.56  34

***

Entry 6:
# Sn4Hg3
Computed powder XRD pattern, Cu Ka. Input: DFT lattice parameters and positions (PBE).

Structure:
```
data_Sn4Hg3
_chemical_formula_sum 'Sn12 Hg9'
_cell_length_a 4.2311
_cell_length_b 4.2311
_cell_length_c 37.3297
_cell_angle_alpha 90.00
_cell_angle_beta 90.00
_cell_angle_gamma 120.00
_space_group_name_H-M_alt 'R -3 m'
_space_group_IT_number 166
_space_group_name_Hall '-R 3 2"'
loop_
_atom_site_label
_atom_site_fract_x
_atom_site_fract_y
_atom_site_fract_z
Sn1 0.0000 0.0000 0.1422
Sn2 0.0000 0.0000 0.2866
Hg1 0.0000 0.0000 0.0000
Hg2 0.0000 0.0000 0.4278
```

Largest 10 diffraction maxima, low angle first, 10° ≤ 2θ ≤ 80°:
2θ (°)  I (rel.)
29.58  100
41.90  40
42.74  38
51.40  8
52.84  21
61.40  13
69.01  19
70.21  18
75.95  7
77.69  14